Structure and calculated PXRD pattern of La4Al (a crystal structure in Alexandria, relaxed with GGA-PBE; Cu Kα (λ = 1.5418 Å)).
Peak positions follow from Bragg's law for the DFT cell and can differ from measured ones.

Top 6 peaks for 10° ≤ 2θ ≤ 90°, by angle:
| 2theta | Rel. int. |
| --- | --- |
| 22.7 | 20 |
| 30.4 | 100 |
| 30.7 | 43 |
| 32.2 | 66 |
| 32.8 | 54 |
| 51.3 | 17 |

Unit cell a=8.5648 b=7.1190 c=10.1236 alpha=56.38 beta=43.80 gamma=79.82
Fractional coordinates of all 10 atoms:
La  0.1325  0.8675  0.2613
La  0.4359  0.5214  0.3401
La  0.5113  0.9887  0.3825
La  0.5214  0.4359  0.7026
La  0.5474  0.9099  0.7286
La  0.8675  0.1325  0.7387
La  0.9099  0.5474  0.8141
La  0.9887  0.5113  0.1175
Al  0.0692  0.0692  0.9308
Al  0.3192  0.3192  0.1808